Entry 1:
Calculated X-ray diffraction stick pattern
Compound: Mg2Re
Radiation: Cu Kα (weighted mean of Kα1 and Kα2)
Structure: a cell relaxed with PBE

Largest 10 diffraction maxima, most intense first, 2θ from 5° to 70°:
2θ/deg  intensity
38.78  100
19.89  94
39.34  55
17.75  51
29.66  51
50.03  25
44.46  24
43.47  22
53.91  21
56.85  19

Structural model:
Cell lengths 10.504, 10.504, 10.504 Å; angles 154.81, 154.81, 35.92 degrees
Atoms (fractional coordinates):
Mg 0.124 0.374 0.750
Mg 0.288 0.538 0.750
Mg 0.374 0.124 0.250
Mg 0.462 0.712 0.750
Mg 0.538 0.288 0.250
Mg 0.626 0.876 0.750
Mg 0.712 0.462 0.250
Mg 0.876 0.626 0.250
Re 0.031 0.781 0.250
Re 0.219 0.969 0.250
Re 0.781 0.031 0.750
Re 0.969 0.219 0.750

Entry 2:
Calculated X-ray diffraction stick pattern
Compound: Tb2CeDySe6
Radiation: Cu Kα (weighted mean of Kα1 and Kα2)
Structure: a cell relaxed with PBE

Largest 10 diffraction maxima, most intense first, 2θ from 5° to 70°:
2θ/deg  intensity
36.94  100
42.88  65
27.99  62
22.97  59
16.68  43
33.73  40
24.36  40
42.05  37
48.70  32
57.85  25

Structural model:
Cell lengths 7.771, 7.771, 7.771 Å; angles 56.09, 56.09, 56.09 degrees
Atoms (fractional coordinates):
Tb 0.000 0.000 0.000
Tb 0.497 0.497 0.497
Ce 0.298 0.298 0.298
Dy 0.802 0.802 0.802
Se 0.095 0.401 0.708
Se 0.206 0.885 0.611
Se 0.401 0.708 0.095
Se 0.611 0.206 0.885
Se 0.708 0.095 0.401
Se 0.885 0.611 0.206

Entry 3:
Calculated X-ray diffraction stick pattern
Compound: V4Fe2Si5
Radiation: Cu Kα (weighted mean of Kα1 and Kα2)
Structure: a cell relaxed with PBE

Largest 10 diffraction maxima, most intense first, 2θ from 5° to 70°:
2θ/deg  intensity
42.58  100
43.74  66
41.86  39
45.24  37
42.94  35
40.20  35
42.78  18
26.49  15
37.91  15
52.57  11

Structural model:
Cell lengths 8.870, 8.870, 8.870 Å; angles 130.08, 59.96, 148.96 degrees
Atoms (fractional coordinates):
V 0.063 0.747 0.810
V 0.140 0.109 0.249
V 0.360 0.609 0.969
V 0.437 0.247 0.683
V 0.563 0.753 0.317
V 0.640 0.391 0.031
V 0.860 0.891 0.751
V 0.937 0.253 0.190
Fe 0.055 0.750 0.305
Fe 0.445 0.750 0.695
Fe 0.555 0.250 0.305
Fe 0.945 0.250 0.695
Si 0.069 0.416 0.486
Si 0.216 0.793 0.010
Si 0.250 0.250 0.000
Si 0.284 0.293 0.577
Si 0.431 0.916 0.347
Si 0.569 0.084 0.653
Si 0.716 0.707 0.423
Si 0.750 0.750 0.000
Si 0.784 0.207 0.990
Si 0.931 0.584 0.514

Entry 4:
Calculated X-ray diffraction stick pattern
Compound: NaHfCuS3
Radiation: Cu Kα (weighted mean of Kα1 and Kα2)
Structure: a cell relaxed with PBE

Largest 10 diffraction maxima, most intense first, 2θ from 5° to 70°:
2θ/deg  intensity
13.38  100
34.35  22
26.96  21
33.74  21
49.30  21
39.04  17
30.28  13
31.59  13
27.15  8
42.83  8

Structural model:
Cell lengths 7.713, 3.699, 8.893 Å; angles 90.00, 107.19, 90.00 degrees
Atoms (fractional coordinates):
Na 0.227 0.250 0.270
Na 0.773 0.750 0.730
Hf 0.314 0.750 0.832
Hf 0.686 0.250 0.168
Cu 0.085 0.250 0.597
Cu 0.915 0.750 0.403
S 0.098 0.250 0.858
S 0.242 0.750 0.539
S 0.443 0.750 0.144
S 0.557 0.250 0.856
S 0.758 0.250 0.461
S 0.902 0.750 0.142

Entry 5:
Calculated X-ray diffraction stick pattern
Compound: Tb3Pr3Er
Radiation: Cu Kα (weighted mean of Kα1 and Kα2)
Structure: a cell relaxed with PBE

Largest 10 diffraction maxima, most intense first, 2θ from 5° to 70°:
2θ/deg  intensity
31.54  100
31.85  94
32.33  50
28.63  38
30.79  36
23.70  30
52.41  25
37.49  20
55.65  18
56.78  18

Structural model:
Cell lengths 8.906, 8.906, 8.906 Å; angles 58.77, 58.77, 58.77 degrees
Atoms (fractional coordinates):
Tb 0.070 0.564 0.225
Tb 0.225 0.070 0.564
Tb 0.436 0.775 0.930
Tb 0.564 0.225 0.070
Tb 0.775 0.930 0.436
Tb 0.930 0.436 0.775
Pr 0.203 0.684 0.437
Pr 0.316 0.563 0.797
Pr 0.437 0.203 0.684
Pr 0.563 0.797 0.316
Pr 0.684 0.437 0.203
Pr 0.797 0.316 0.563
Er 0.152 0.152 0.152
Er 0.848 0.848 0.848

Entry 6:
Calculated X-ray diffraction stick pattern
Compound: SrHo5S6
Radiation: Cu Kα (weighted mean of Kα1 and Kα2)
Structure: a cell relaxed with PBE

Largest 10 diffraction maxima, most intense first, 2θ from 5° to 70°:
2θ/deg  intensity
32.15  100
27.78  58
46.03  36
46.18  36
54.70  25
27.66  20
57.38  18
67.25  11
54.55  10
57.12  7

Structural model:
Cell lengths 6.812, 6.812, 6.838 Å; angles 99.55, 99.55, 120.07 degrees
Atoms (fractional coordinates):
Sr 0.000 0.000 0.000
Ho 0.162 0.838 0.500
Ho 0.333 0.667 0.000
Ho 0.500 0.500 0.500
Ho 0.667 0.333 0.000
Ho 0.838 0.162 0.500
S 0.086 0.430 0.259
S 0.259 0.259 0.747
S 0.430 0.086 0.259
S 0.570 0.914 0.741
S 0.741 0.741 0.253
S 0.914 0.570 0.741

Entry 7:
Calculated X-ray diffraction stick pattern
Compound: Dy8Tm3
Radiation: Cu Kα (weighted mean of Kα1 and Kα2)
Structure: a cell relaxed with PBE

Largest 10 diffraction maxima, most intense first, 2θ from 5° to 70°:
2θ/deg  intensity
30.77  100
29.09  60
64.10  37
35.41  35
32.16  34
31.90  32
24.55  31
37.23  29
38.81  25
35.17  22

Structural model:
Cell lengths 7.623, 7.623, 7.623 Å; angles 107.27, 107.27, 107.27 degrees
Atoms (fractional coordinates):
Dy 0.191 0.531 0.681
Dy 0.248 0.248 0.248
Dy 0.319 0.809 0.469
Dy 0.469 0.319 0.809
Dy 0.531 0.681 0.191
Dy 0.681 0.191 0.531
Dy 0.752 0.752 0.752
Dy 0.809 0.469 0.319
Tm 0.000 0.000 0.500
Tm 0.000 0.500 0.000
Tm 0.500 0.000 0.000

Entry 8:
Calculated X-ray diffraction stick pattern
Compound: ErScZn4
Radiation: Cu Kα (weighted mean of Kα1 and Kα2)
Structure: a cell relaxed with PBE

Largest 10 diffraction maxima, most intense first, 2θ from 5° to 70°:
2θ/deg  intensity
35.86  100
40.87  45
55.44  28
40.77  23
11.58  23
55.53  9
20.06  8
29.39  7
30.91  7
23.24  6

Structural model:
Cell lengths 3.312, 4.427, 7.642 Å; angles 90.00, 90.00, 90.00 degrees
Atoms (fractional coordinates):
Er 0.000 0.000 0.000
Sc 0.000 0.500 0.500
Zn 0.500 0.000 0.338
Zn 0.500 0.000 0.662
Zn 0.500 0.500 0.173
Zn 0.500 0.500 0.827

Entry 9:
Calculated X-ray diffraction stick pattern
Compound: Ba6H2Rh
Radiation: Cu Kα (weighted mean of Kα1 and Kα2)
Structure: a cell relaxed with PBE

Largest 10 diffraction maxima, most intense first, 2θ from 5° to 70°:
2θ/deg  intensity
26.60  100
26.46  49
44.67  33
24.73  28
41.11  27
34.37  26
48.56  19
49.82  17
34.26  14
14.04  14

Structural model:
Cell lengths 7.624, 7.201, 15.137 Å; angles 90.00, 120.21, 90.00 degrees
Atoms (fractional coordinates):
Ba 0.004 0.239 0.333
Ba 0.004 0.261 0.833
Ba 0.339 0.239 0.667
Ba 0.339 0.261 0.167
Ba 0.339 0.726 0.000
Ba 0.339 0.774 0.500
Ba 0.661 0.226 0.500
Ba 0.661 0.274 0.000
Ba 0.661 0.739 0.833
Ba 0.661 0.761 0.333
Ba 0.996 0.739 0.167
Ba 0.996 0.761 0.667
H 0.339 0.000 0.339
H 0.339 0.500 0.839
H 0.661 0.000 0.661
H 0.661 0.500 0.161
Rh 0.000 0.000 0.500
Rh 0.000 0.500 0.000

Entry 10:
Calculated X-ray diffraction stick pattern
Compound: CsTmS4
Radiation: Cu Kα (weighted mean of Kα1 and Kα2)
Structure: a cell relaxed with PBE

Largest 10 diffraction maxima, most intense first, 2θ from 5° to 70°:
2θ/deg  intensity
29.66  100
21.18  51
36.73  43
30.12  36
48.52  28
10.22  23
53.21  22
47.27  22
20.52  21
48.21  20

Structural model:
Cell lengths 5.933, 5.933, 8.655 Å; angles 90.00, 90.00, 90.00 degrees
Atoms (fractional coordinates):
Cs 0.250 0.250 0.000
Cs 0.750 0.750 0.000
Tm 0.250 0.250 0.500
Tm 0.750 0.750 0.500
S 0.124 0.624 0.316
S 0.124 0.876 0.684
S 0.376 0.624 0.684
S 0.376 0.876 0.316
S 0.624 0.124 0.684
S 0.624 0.376 0.316
S 0.876 0.124 0.316
S 0.876 0.376 0.684

Entry 11:
Calculated X-ray diffraction stick pattern
Compound: Li5I2Cl2
Radiation: Cu Kα (weighted mean of Kα1 and Kα2)
Structure: a cell relaxed with PBE

Largest 10 diffraction maxima, most intense first, 2θ from 5° to 70°:
2θ/deg  intensity
25.15  100
34.72  75
23.53  61
13.29  54
25.59  49
37.37  33
31.92  29
35.94  28
26.77  27
27.12  27

Structural model:
Cell lengths 7.658, 7.658, 8.360 Å; angles 90.00, 90.00, 59.16 degrees
Atoms (fractional coordinates):
Li 0.000 0.000 0.000
Li 0.072 0.681 0.699
Li 0.181 0.572 0.199
Li 0.319 0.928 0.699
Li 0.428 0.819 0.199
Li 0.500 0.500 0.500
Li 0.572 0.181 0.801
Li 0.681 0.072 0.301
Li 0.819 0.428 0.801
Li 0.928 0.319 0.301
I 0.218 0.218 0.000
I 0.282 0.282 0.500
I 0.718 0.718 0.500
I 0.782 0.782 0.000
Cl 0.054 0.946 0.284
Cl 0.446 0.554 0.784
Cl 0.554 0.446 0.216
Cl 0.946 0.054 0.716

Entry 12:
Calculated X-ray diffraction stick pattern
Compound: InBIr2
Radiation: Cu Kα (weighted mean of Kα1 and Kα2)
Structure: a cell relaxed with PBE

Largest 10 diffraction maxima, most intense first, 2θ from 5° to 70°:
2θ/deg  intensity
36.79  100
45.97  69
31.13  68
45.34  45
39.61  37
51.79  23
63.30  11
64.35  11
26.11  10
12.97  9

Structural model:
Cell lengths 7.131, 7.131, 7.131 Å; angles 156.57, 156.22, 33.63 degrees
Atoms (fractional coordinates):
In 0.000 0.000 0.000
B 0.741 0.241 0.500
Ir 0.178 0.678 0.500
Ir 0.358 0.358 0.000